Pt17Pb: calculated powder XRD pattern (Cu Kα), based on a crystal structure in OQMD, relaxed with PBE.
Peak positions follow from Bragg's law for the DFT cell and can differ from measured ones.

Main lines, in order of falling intensity (2θ = 10–90°):
Position (°2θ), intensity, hkl
39.8, 100, 2 0 5
46.4, 52, 0 2 10
39.0, 49, 2 0 4
44.8, 44, 0 2 9
67.6, 34, 2 2 0
37.3, 26, 0 0 14

Crystal structure
```
Pt17Pb
1.0
5.548 0.000 0.000
-2.774 4.804 0.000
0.000 0.000 33.791
Pt Pb
34 2
Direct
0.000 0.000 0.000
0.000 0.000 0.206
0.000 0.000 0.794
0.000 0.500 0.000
0.003 0.501 0.206
0.166 0.331 0.726
0.166 0.834 0.726
0.167 0.333 0.931
0.167 0.334 0.138
0.167 0.833 0.138
0.167 0.833 0.931
0.331 0.166 0.274
0.333 0.167 0.069
0.333 0.667 0.069
0.333 0.667 0.863
0.334 0.167 0.862
0.499 0.501 0.206
0.499 0.997 0.206
0.500 0.000 0.000
0.500 0.500 0.000
0.501 0.003 0.794
0.501 0.499 0.794
0.666 0.833 0.138
0.667 0.333 0.137
0.667 0.333 0.931
0.667 0.833 0.931
0.669 0.834 0.726
0.833 0.167 0.069
0.833 0.167 0.862
0.833 0.666 0.862
0.833 0.667 0.069
0.834 0.166 0.274
0.834 0.669 0.274
0.997 0.499 0.794
0.333 0.667 0.303
0.667 0.333 0.697
```